Diffraction record for LiMn7O12. The powder diffraction line list is theoretical, not measured: it uses DFT lattice parameters and positions (PBE+U) and Cu Kα X-rays.

Crystal structure
abc: 5.126 5.126 10.155
angles: 96.41 96.41 120.62
Positions (direct):
Li (0.000, 0.000, 0.000)
Mn (0.081, 0.420, 0.237)
Mn (0.136, 0.864, 0.500)
Mn (0.331, 0.669, 0.000)
Mn (0.477, 0.523, 0.500)
Mn (0.580, 0.919, 0.763)
Mn (0.653, 0.347, 0.000)
Mn (0.806, 0.194, 0.500)
O (0.043, 0.678, 0.110)
O (0.096, 0.177, 0.391)
O (0.214, 0.578, 0.609)
O (0.322, 0.957, 0.890)
O (0.374, 0.399, 0.102)
O (0.422, 0.786, 0.391)
O (0.513, 0.227, 0.598)
O (0.601, 0.626, 0.898)
O (0.712, 0.091, 0.114)
O (0.773, 0.487, 0.402)
O (0.823, 0.904, 0.609)
O (0.909, 0.288, 0.886)

Most intense lines, 10° ≤ 2θ ≤ 80°, in order of rising 2θ:
2θ = 17.93°, I = 78; 2θ = 19.94°, I = 28; 2θ = 20.73°, I = 23; 2θ = 24.03°, I = 37; 2θ = 36.32°, I = 20; 2θ = 37.48°, I = 21; 2θ = 42.26°, I = 100; 2θ = 44.49°, I = 44; 2θ = 62.73°, I = 23; 2θ = 63.34°, I = 26